Record 1
Starting from a structure optimized by DFT (GGA-PBE), the XRD peak list of Ce6Al2Tl was computed for Cu Kα (weighted mean of Kα1 and Kα2).
Kinematic intensities with the Lorentz-polarization factor, no thermal factor.

Top 10 peaks for 2θ = 10–90°, low angle first:
d [Å], I/Imax
7.833, 18.2
3.917, 17.5
3.006, 14.6
2.611, 100.0
2.503, 69.5
1.971, 24.2
1.807, 25.3
1.507, 17.1
1.486, 26.1
1.303, 22.7

```
data_Ce6Al2Tl
_cell_length_a 9.0449
_cell_length_b 9.0449
_cell_length_c 3.0057
_cell_angle_alpha 90.00
_cell_angle_beta 90.00
_cell_angle_gamma 120.00
_space_group_name_H-M_alt 'P 6/m m m'
_space_group_IT_number 191
_space_group_name_Hall '-P 6 2'
loop_
_atom_site_label
_atom_site_fract_x
_atom_site_fract_y
_atom_site_fract_z
_atom_site_occupancy
Ce1 0.0000 0.3481 0.0000 1
Al1 0.3333 0.6667 0.5000 1
Tl1 0.0000 0.0000 0.5000 1
```

---

Record 2
Starting from a structure optimized by DFT (GGA-PBE), the XRD peak list of Ce5AlTl2 was computed for Cu Kα (weighted mean of Kα1 and Kα2).
Kinematic intensities with the Lorentz-polarization factor, no thermal factor.

Top 10 peaks for 2θ = 10–90°, low angle first:
d [Å], I/Imax
3.147, 8.0
2.740, 100.0
2.413, 17.2
2.354, 32.9
1.685, 23.1
1.665, 11.4
1.448, 13.5
1.423, 26.9
1.370, 11.6
1.093, 11.5

```
data_Ce5AlTl2
_cell_length_a 4.708
_cell_length_b 4.708
_cell_length_c 19.302
_cell_angle_alpha 90.00
_cell_angle_beta 90.00
_cell_angle_gamma 90.00
_space_group_name_H-M_alt 'I 4/m m m'
_space_group_IT_number 139
_space_group_name_Hall '-I 4 2'
loop_
_atom_site_label
_atom_site_fract_x
_atom_site_fract_y
_atom_site_fract_z
_atom_site_occupancy
Ce1 0.000 0.000 0.000 1
Ce2 0.000 0.500 0.120 1
Al1 0.000 0.000 0.500 1
Tl1 0.000 0.000 0.250 1
```

---

Record 3
Starting from a structure optimized by DFT (GGA-PBE), the XRD peak list of Ce2TmAl was computed for Cu Kα (weighted mean of Kα1 and Kα2).
Kinematic intensities with the Lorentz-polarization factor, no thermal factor.

Top 10 peaks for 2θ = 10–90°, low angle first:
d [Å], I/Imax
3.927, 46.2
2.870, 20.4
2.844, 62.6
2.707, 100.0
2.501, 42.3
2.472, 63.1
1.879, 18.7
1.878, 18.9
1.863, 17.8
1.481, 15.8

```
data_Ce2TmAl
_cell_length_a 6.340
_cell_length_b 5.003
_cell_length_c 6.438
_cell_angle_alpha 90.00
_cell_angle_beta 90.10
_cell_angle_gamma 90.00
_space_group_name_H-M_alt 'P 1 21/m 1'
_space_group_IT_number 11
loop_
_space_group_symop_operation_xyz
'x,y,z'
'-x,-y,-z'
'-x,y+1/2,-z'
'x,-y+1/2,z'
loop_
_atom_site_label
_atom_site_fract_x
_atom_site_fract_y
_atom_site_fract_z
_atom_site_occupancy
Ce1 0.031 0.250 0.113 1
Ce2 0.469 0.250 0.114 1
Tm1 0.249 0.250 0.604 1
Al1 0.251 0.750 0.333 1
```

---

Record 4
Starting from a structure optimized by DFT (GGA-PBE), the XRD peak list of CeTm4Al2 was computed for Cu Kα (weighted mean of Kα1 and Kα2).
Kinematic intensities with the Lorentz-polarization factor, no thermal factor.

Top 10 peaks for 2θ = 10–90°, low angle first:
d [Å], I/Imax
3.694, 30.6
3.441, 28.4
2.998, 63.0
2.962, 41.2
2.934, 100.0
2.887, 26.1
2.690, 45.5
2.666, 32.9
2.608, 28.0
2.445, 37.8

```
data_CeTm4Al2
_cell_length_a 8.085
_cell_length_b 6.379
_cell_length_c 8.249
_cell_angle_alpha 90.00
_cell_angle_beta 112.60
_cell_angle_gamma 90.00
_space_group_name_H-M_alt 'P 1 21/m 1'
_space_group_IT_number 11
loop_
_space_group_symop_operation_xyz
'x,y,z'
'-x,-y,-z'
'-x,y+1/2,-z'
'x,-y+1/2,z'
loop_
_atom_site_label
_atom_site_fract_x
_atom_site_fract_y
_atom_site_fract_z
_atom_site_occupancy
Ce1 0.144 0.250 0.011 1
Tm1 0.011 0.250 0.387 1
Tm2 0.237 0.750 0.349 1
Tm3 0.405 0.003 0.752 1
Al1 0.263 0.750 0.995 1
Al2 0.380 0.250 0.414 1
```

---

Record 5
Starting from a structure optimized by DFT (GGA-PBE), the XRD peak list of Ce2Al3V was computed for Cu Kα (weighted mean of Kα1 and Kα2).
Kinematic intensities with the Lorentz-polarization factor, no thermal factor.

Top 10 peaks for 2θ = 10–90°, low angle first:
d [Å], I/Imax
4.562, 26.8
4.530, 31.3
2.786, 47.3
2.772, 66.0
2.378, 29.3
2.368, 100.0
1.603, 18.4
1.510, 18.3
1.393, 13.8
1.386, 13.9

```
data_Ce2Al3V
_cell_length_a 5.5435
_cell_length_b 5.5435
_cell_length_c 13.6857
_cell_angle_alpha 90.00
_cell_angle_beta 90.00
_cell_angle_gamma 120.00
_space_group_name_H-M_alt 'R -3 m'
_space_group_IT_number 166
_space_group_name_Hall '-R 3 2"'
loop_
_atom_site_label
_atom_site_fract_x
_atom_site_fract_y
_atom_site_fract_z
_atom_site_occupancy
Ce1 0.0000 0.0000 0.1287 1
Al1 0.0000 0.5000 0.0000 1
V1 0.0000 0.0000 0.5000 1
```

---

Record 6
Starting from a structure optimized by DFT (GGA-PBE), the XRD peak list of Ce2YAl6 was computed for Cu Kα (weighted mean of Kα1 and Kα2).
Kinematic intensities with the Lorentz-polarization factor, no thermal factor.

Top 10 peaks for 2θ = 10–90°, low angle first:
d [Å], I/Imax
3.993, 58.8
2.645, 100.0
2.305, 46.8
1.996, 9.0
1.930, 8.5
1.738, 28.1
1.615, 9.1
1.402, 19.0
1.388, 26.4
1.331, 8.0

```
data_Ce2YAl6
_cell_length_a 7.9852
_cell_length_b 7.9852
_cell_length_c 3.5307
_cell_angle_alpha 90.00
_cell_angle_beta 90.00
_cell_angle_gamma 120.00
_space_group_name_H-M_alt 'P 6/m m m'
_space_group_IT_number 191
_space_group_name_Hall '-P 6 2'
loop_
_atom_site_label
_atom_site_fract_x
_atom_site_fract_y
_atom_site_fract_z
_atom_site_occupancy
Ce1 0.3333 0.6667 0.0000 1
Y1 0.0000 0.0000 0.0000 1
Al1 0.0000 0.3322 0.5000 1
```

---

Record 7
Starting from a structure optimized by DFT (GGA-PBE), the XRD peak list of CeYAl2 was computed for Cu Kα (weighted mean of Kα1 and Kα2).
Kinematic intensities with the Lorentz-polarization factor, no thermal factor.

Top 10 peaks for 2θ = 10–90°, low angle first:
d [Å], I/Imax
4.139, 34.9
4.057, 36.0
3.553, 65.6
2.791, 92.5
2.751, 72.8
2.603, 27.1
2.460, 100.0
2.255, 43.2
2.068, 29.2
1.653, 31.2

```
data_CeYAl2
_cell_length_a 4.136
_cell_length_b 4.511
_cell_length_c 10.614
_cell_angle_alpha 90.00
_cell_angle_beta 101.20
_cell_angle_gamma 90.00
_space_group_name_H-M_alt 'P 1 21/m 1'
_space_group_IT_number 11
loop_
_space_group_symop_operation_xyz
'x,y,z'
'-x,-y,-z'
'-x,y+1/2,-z'
'x,-y+1/2,z'
loop_
_atom_site_label
_atom_site_fract_x
_atom_site_fract_y
_atom_site_fract_z
_atom_site_occupancy
Ce1 0.044 0.250 0.090 1
Y1 0.310 0.750 0.618 1
Al1 0.157 0.750 0.316 1
Al2 0.423 0.250 0.844 1
```

---

Record 8
Starting from a structure optimized by DFT (GGA-PBE), the XRD peak list of CeYAl2Zn2 was computed for Cu Kα (weighted mean of Kα1 and Kα2).
Kinematic intensities with the Lorentz-polarization factor, no thermal factor.

Top 10 peaks for 2θ = 10–90°, low angle first:
d [Å], I/Imax
3.889, 21.1
3.442, 15.8
2.680, 100.0
2.245, 50.9
1.849, 8.9
1.721, 26.0
1.427, 22.2
1.366, 23.6
1.296, 8.3
1.175, 7.0

```
data_CeYAl2Zn2
_cell_length_a 4.4904
_cell_length_b 4.4904
_cell_length_c 7.3960
_cell_angle_alpha 90.00
_cell_angle_beta 90.00
_cell_angle_gamma 120.00
_space_group_name_H-M_alt 'P -3 m 1'
_space_group_IT_number 164
_space_group_name_Hall '-P 3 2"'
loop_
_atom_site_label
_atom_site_fract_x
_atom_site_fract_y
_atom_site_fract_z
_atom_site_occupancy
Ce1 0.0000 0.0000 0.0000 1
Y1 0.0000 0.0000 0.5000 1
Al1 0.3333 0.6667 0.2555 1
Zn1 0.3333 0.6667 0.7359 1
```

---

Record 9
Starting from a structure optimized by DFT (GGA-PBE), the XRD peak list of CeAl8Zn4 was computed for Cu Kα (weighted mean of Kα1 and Kα2).
Kinematic intensities with the Lorentz-polarization factor, no thermal factor.

Top 10 peaks for 2θ = 10–90°, low angle first:
d [Å], I/Imax
6.516, 26.3
4.556, 23.7
3.258, 53.6
3.240, 40.6
2.650, 34.0
2.304, 63.7
2.297, 60.7
2.278, 100.0
2.042, 23.8
1.620, 37.4

```
data_CeAl8Zn4
_cell_length_a 9.215
_cell_length_b 9.215
_cell_length_c 5.241
_cell_angle_alpha 90.00
_cell_angle_beta 90.00
_cell_angle_gamma 90.00
_space_group_name_H-M_alt 'I 4/m m m'
_space_group_IT_number 139
_space_group_name_Hall '-I 4 2'
loop_
_atom_site_label
_atom_site_fract_x
_atom_site_fract_y
_atom_site_fract_z
_atom_site_occupancy
Ce1 0.000 0.000 0.000 1
Al1 0.000 0.217 0.500 1
Al2 0.000 0.355 0.000 1
Zn1 0.250 0.250 0.250 1
```

---

Record 10
Starting from a structure optimized by DFT (GGA-PBE), the XRD peak list of CeAlZn11 was computed for Cu Kα (weighted mean of Kα1 and Kα2).
Kinematic intensities with the Lorentz-polarization factor, no thermal factor.

Top 10 peaks for 2θ = 10–90°, low angle first:
d [Å], I/Imax
3.186, 24.1
2.626, 26.8
2.596, 58.7
2.268, 40.0
2.262, 39.1
2.247, 87.6
2.238, 100.0
2.023, 31.8
1.432, 22.7
1.295, 24.3

```
data_CeAlZn11
_cell_length_a 5.252
_cell_length_b 12.683
_cell_length_c 6.834
_cell_angle_alpha 90.00
_cell_angle_beta 112.36
_cell_angle_gamma 90.00
_space_group_name_H-M_alt 'C 1 2/m 1'
_space_group_IT_number 12
loop_
_space_group_symop_operation_xyz
'x,y,z'
'-x,-y,-z'
'-x,y,-z'
'x,-y,z'
'x+1/2,y+1/2,z'
'-x+1/2,-y+1/2,-z'
'-x+1/2,y+1/2,-z'
'x+1/2,-y+1/2,z'
loop_
_atom_site_label
_atom_site_fract_x
_atom_site_fract_y
_atom_site_fract_z
_atom_site_occupancy
Ce1 0.000 0.000 0.000 1
Al1 0.000 0.000 0.500 1
Zn1 0.000 0.500 0.500 1
Zn2 0.106 0.390 0.217 1
Zn3 0.177 0.178 0.354 1
Zn4 0.250 0.250 0.000 1
```

---

Record 11
Starting from a structure optimized by DFT (GGA-PBE), the XRD peak list of Ce2Al8Zn was computed for Cu Kα (weighted mean of Kα1 and Kα2).
Kinematic intensities with the Lorentz-polarization factor, no thermal factor.

Top 10 peaks for 2θ = 10–90°, low angle first:
d [Å], I/Imax
4.384, 82.3
3.766, 18.4
3.100, 23.2
2.857, 49.2
2.718, 28.2
2.393, 100.0
2.192, 48.6
1.961, 19.1
1.739, 22.7
1.301, 31.8

```
data_Ce2Al8Zn
_cell_length_a 4.384
_cell_length_b 4.384
_cell_length_c 11.298
_cell_angle_alpha 90.00
_cell_angle_beta 90.00
_cell_angle_gamma 90.00
_space_group_name_H-M_alt 'P 4/m m m'
_space_group_IT_number 123
_space_group_name_Hall '-P 4 2'
loop_
_atom_site_label
_atom_site_fract_x
_atom_site_fract_y
_atom_site_fract_z
_atom_site_occupancy
Ce1 0.000 0.000 0.190 1
Al1 0.000 0.500 0.000 1
Al2 0.000 0.500 0.373 1
Al3 0.500 0.500 0.193 1
Zn1 0.000 0.000 0.500 1
```

---

Record 12
Starting from a structure optimized by DFT (GGA-PBE), the XRD peak list of Ce5Al3Zn3 was computed for Cu Kα (weighted mean of Kα1 and Kα2).
Kinematic intensities with the Lorentz-polarization factor, no thermal factor.

Top 10 peaks for 2θ = 10–90°, low angle first:
d [Å], I/Imax
4.841, 56.3
3.169, 34.8
2.987, 59.4
2.795, 100.0
2.542, 57.5
2.420, 29.7
2.325, 28.6
2.174, 31.5
2.041, 50.7
1.881, 43.9

```
data_Ce5Al3Zn3
_cell_length_a 9.6814
_cell_length_b 9.6814
_cell_length_c 2.9871
_cell_angle_alpha 90.00
_cell_angle_beta 90.00
_cell_angle_gamma 120.00
_space_group_name_H-M_alt 'P -6 2 m'
_space_group_IT_number 189
_space_group_name_Hall 'P -6 -2'
loop_
_atom_site_label
_atom_site_fract_x
_atom_site_fract_y
_atom_site_fract_z
_atom_site_occupancy
Ce1 0.0000 0.6437 0.0000 1
Ce2 0.3333 0.6667 0.0000 1
Al1 0.0000 0.3656 0.5000 1
Zn1 0.0000 0.1478 0.0000 1
```

---

Record 13
Starting from a structure optimized by DFT (GGA-PBE), the XRD peak list of Ce3Al4Zn2 was computed for Cu Kα (weighted mean of Kα1 and Kα2).
Kinematic intensities with the Lorentz-polarization factor, no thermal factor.

Top 10 peaks for 2θ = 10–90°, low angle first:
d [Å], I/Imax
3.983, 79.9
2.654, 91.9
2.645, 100.0
2.304, 33.4
2.297, 66.9
1.774, 12.4
1.739, 26.7
1.736, 16.3
1.406, 21.6
1.388, 23.5

```
data_Ce3Al4Zn2
_cell_length_a 10.683
_cell_length_b 4.609
_cell_length_c 8.689
_cell_angle_alpha 90.00
_cell_angle_beta 114.29
_cell_angle_gamma 90.00
_space_group_name_H-M_alt 'C 1 2/m 1'
_space_group_IT_number 12
loop_
_space_group_symop_operation_xyz
'x,y,z'
'-x,-y,-z'
'-x,y,-z'
'x,-y,z'
'x+1/2,y+1/2,z'
'-x+1/2,-y+1/2,-z'
'-x+1/2,y+1/2,-z'
'x+1/2,-y+1/2,z'
loop_
_atom_site_label
_atom_site_fract_x
_atom_site_fract_y
_atom_site_fract_z
_atom_site_occupancy
Ce1 0.000 0.000 0.000 1
Ce2 0.175 0.500 0.662 1
Al1 0.035 0.000 0.372 1
Al2 0.223 0.500 0.058 1
Zn1 0.089 0.500 0.260 1
```

---

Record 14
Starting from a structure optimized by DFT (GGA-PBE), the XRD peak list of Ce2Al2Zn was computed for Cu Kα (weighted mean of Kα1 and Kα2).
Kinematic intensities with the Lorentz-polarization factor, no thermal factor.

Top 10 peaks for 2θ = 10–90°, low angle first:
d [Å], I/Imax
6.775, 21.0
4.345, 29.5
3.218, 15.2
2.725, 100.0
2.434, 41.7
2.333, 54.2
2.294, 26.2
1.898, 18.8
1.669, 26.0
1.400, 21.0

```
data_Ce2Al2Zn
_cell_length_a 4.587
_cell_length_b 13.550
_cell_length_c 3.499
_cell_angle_alpha 90.00
_cell_angle_beta 90.00
_cell_angle_gamma 90.00
_space_group_name_H-M_alt 'C m m m'
_space_group_IT_number 65
_space_group_name_Hall '-C 2 2'
loop_
_atom_site_label
_atom_site_fract_x
_atom_site_fract_y
_atom_site_fract_z
_atom_site_occupancy
Ce1 0.000 0.105 0.000 1
Al1 0.000 0.301 0.500 1
Zn1 0.000 0.500 0.500 1
```